Computed PXRD pattern of Rb4RuO5 for Cu Kα, 1.54184 Å, from a crystal structure in Alexandria, relaxed with PBE.

Principal peaks in the range 2θ = 10–90°, most intense first:
d 3.187, 2θ 28.0, I = 100; d 2.703, 2θ 33.1, I = 48; d 1.639, 2θ 56.1, I = 34; d 1.973, 2θ 46.0, I = 33; d 2.887, 2θ 31.0, I = 30; d 1.719, 2θ 53.3, I = 17; d 1.911, 2θ 47.6, I = 15; d 1.594, 2θ 57.9, I = 15; d 1.278, 2θ 74.2, I = 14; d 1.244, 2θ 76.6, I = 8

Crystal structure
```
10
Lattice="-4.273 4.273 2.887 4.273 -4.273 2.887 4.273 4.273 -2.887" Properties=species:S:1:pos:R:3 pbc="T T T"
Rb 6.021 0.929 0.000
Rb 0.929 2.526 0.000
Rb 3.344 1.747 2.887
Rb -1.747 3.344 2.887
Ru 0.000 0.000 2.579
O 0.000 0.000 0.761
O 3.701 2.468 0.080
O 1.805 -0.572 2.968
O 2.468 4.845 0.080
O 0.572 1.805 2.968
```

Computed PXRD pattern of Rb8RuO6 for Cu Kα, 1.54184 Å, from a crystal structure in Alexandria, relaxed with PBE.

Principal peaks in the range 2θ = 10–90°, most intense first:
d 3.312, 2θ 26.9, I = 100; d 3.455, 2θ 25.8, I = 70; d 2.738, 2θ 32.7, I = 42; d 2.531, 2θ 35.5, I = 42; d 2.789, 2θ 32.1, I = 39; d 1.963, 2θ 46.3, I = 37; d 3.168, 2θ 28.2, I = 36; d 2.671, 2θ 33.6, I = 36; d 6.965, 2θ 12.7, I = 34; d 3.439, 2θ 25.9, I = 31

Crystal structure
```
30
Lattice="7.848 0.000 0.000 0.000 7.928 0.000 0.000 0.000 14.580" Properties=species:S:1:pos:R:3 pbc="T T T"
Rb 0.000 0.672 0.000
Rb 0.000 5.892 6.490
Rb 1.677 4.379 1.548
Rb 1.842 4.571 12.488
Rb 1.957 7.317 3.737
Rb 1.967 0.612 11.027
Rb 2.082 3.357 5.198
Rb 2.247 3.549 8.837
Rb 3.924 2.037 13.780
Rb 3.924 7.256 7.290
Rb 5.601 3.549 8.837
Rb 5.766 3.357 5.198
Rb 5.882 0.612 11.027
Rb 5.891 7.317 3.737
Rb 6.006 4.571 12.488
Rb 6.171 4.379 1.548
Ru 0.000 1.283 7.235
Ru 3.924 6.645 14.525
O 0.000 1.261 9.095
O 0.000 3.184 7.011
O 0.000 3.313 14.129
O 0.000 5.445 3.732
O 1.527 0.629 6.395
O 2.397 7.300 13.685
O 3.924 2.483 11.022
O 3.924 4.616 6.840
O 3.924 4.744 14.300
O 3.924 6.667 1.805
O 5.451 7.300 13.685
O 6.322 0.629 6.395
```